For Co17Sb, DFT lattice parameters and positions (GGA-PBE) gives the simulated powder diffractogram in this record (copper Kα).
Lines closer than 0.1° are merged.

Structure:
```
36
Lattice="4.944 0.000 0.000 -2.472 4.282 0.000 0.000 0.000 30.887" Properties=species:S:1:pos:R:3 pbc="T T T"
Co 0.000 0.000 0.000
Co 0.000 0.000 6.046
Co 0.000 0.000 24.841
Co -1.236 2.141 0.000
Co -1.226 2.147 6.076
Co 0.000 1.425 4.026
Co -1.238 3.570 4.026
Co 0.000 1.428 28.866
Co 0.000 1.429 22.860
Co -1.235 3.568 22.860
Co -1.236 3.568 28.866
Co 1.234 0.712 26.860
Co 1.236 0.714 2.021
Co 0.000 2.855 2.018
Co 0.000 2.855 26.795
Co 1.237 0.714 8.027
Co 1.226 2.147 6.076
Co 0.000 4.271 6.076
Co 2.472 0.000 0.000
Co 1.236 2.141 0.000
Co 2.472 0.011 24.811
Co 1.246 2.135 24.811
Co 1.235 3.568 22.860
Co 2.472 1.427 4.092
Co 2.472 1.427 28.869
Co 1.236 3.568 28.866
Co 1.238 3.570 4.026
Co 3.708 0.714 2.021
Co 3.707 0.714 8.027
Co 2.472 2.853 8.027
Co 2.472 2.854 2.021
Co 3.711 0.712 26.860
Co 2.472 2.857 26.860
Co 3.699 2.135 24.811
Sb 0.000 2.855 8.896
Sb 2.472 1.427 21.991
```

Largest 6 diffraction maxima, by angle, 10 to 90 degrees two-theta:
hkl  2θ (°)  d (Å)  I_rel
0 0 4  11.46  7.722  217
0 0 15  43.92  2.061  522
2 0 5  44.80  2.023  1000
2 0 6  45.91  1.977  268
0 2 10  51.97  1.760  552
2 2 0  77.19  1.236  270